Starting from the GGA-PBE geometry in Alexandria, the X-ray diffraction stick pattern of BaTl6Hg was calculated for Cu Kα X-rays.
Intensities are scaled so that the largest is 100.

Structure:
```
data_BaTl6Hg
_chemical_formula_sum 'Ba2 Tl12 Hg2'
_cell_length_a 5.1942
_cell_length_b 8.8393
_cell_length_c 11.3019
_cell_angle_alpha 90.00
_cell_angle_beta 90.00
_cell_angle_gamma 90.00
_symmetry_space_group_name_H-M 'A m m 2'
_symmetry_Int_Tables_number 38
loop_
_symmetry_equiv_pos_as_xyz
'x,y,z'
'-x,-y,z'
'-x,y,z'
'x,-y,z'
'x,y+1/2,z+1/2'
'-x,-y+1/2,z+1/2'
'-x,y+1/2,z+1/2'
'x,-y+1/2,z+1/2'
loop_
_atom_site_label
_atom_site_type_symbol
_atom_site_fract_x
_atom_site_fract_y
_atom_site_fract_z
_atom_site_occupancy
Ba1 Ba 0.0000 0.0000 0.0000 1
Tl1 Tl 0.0000 0.0000 0.5801 1
Tl2 Tl 0.0000 0.2071 0.2880 1
Tl3 Tl 0.5000 0.0000 0.2259 1
Tl4 Tl 0.5000 0.2019 0.5028 1
Hg1 Hg 0.5000 0.0000 0.7832 1
```

Peak list (8 most intense, 2θ from 10° to 80°, by intensity)
(1 2 2), 2.890 Å, 30.94°, I 100
(2 0 0), 2.597 Å, 34.54°, I 22
(3 2 2), 1.550 Å, 59.65°, I 16
(0 0 4), 2.825 Å, 31.67°, I 15
(2 0 4), 1.912 Å, 47.55°, I 11
(2 3 5), 1.476 Å, 62.98°, I 11
(1 3 1), 2.499 Å, 35.93°, I 9
(0 3 5), 1.793 Å, 50.92°, I 9